Starting from a structure optimized by DFT (PBE), the powder diffractogram of Nd5Y4Hg was simulated for Cu Kα (weighted mean of Kα1 and Kα2).

Top 10 peaks for 10° ≤ 2θ ≤ 90°, by angle:
hkl, 2θ/deg, intensity
1 0 5, 30.50, 100
1 1 0, 34.61, 39
0 0 10, 36.83, 12
2 0 0, 49.76, 14
1 1 10, 51.44, 18
2 1 5, 59.49, 30
1 0 15, 62.46, 7
2 0 10, 63.49, 10
3 1 0, 83.39, 6
2 1 15, 83.78, 6

Structural model:
Unit cell a=3.6649 b=3.6649 c=24.4024 alpha=90.00 beta=90.00 gamma=90.00
Fractional coordinates of all 10 atoms:
Nd: 0.0000 0.0000 0.0000
Nd: 0.0000 0.0000 0.2067
Nd: 0.0000 0.0000 0.4152
Nd: 0.0000 0.0000 0.5848
Nd: 0.0000 0.0000 0.7933
Y: 0.5000 0.5000 0.1034
Y: 0.5000 0.5000 0.3102
Y: 0.5000 0.5000 0.6898
Y: 0.5000 0.5000 0.8966
Hg: 0.5000 0.5000 0.5000